The following is a theoretical X-ray powder pattern of Na2AsHS4. It was derived from a DFT-relaxed cell (GGA-PBE, Alexandria), using Cu Kα.
Lines closer than 0.1° are merged.

Structural model:
```
data_Na2AsHS4
_chemical_formula_sum 'Na4 As2 H2 S8'
_symmetry_space_group_name_H-M 'C 1 m 1'
_symmetry_Int_Tables_number 8
_symmetry_space_group_name_Hall 'C -2y'
_cell_length_a 8.4025
_cell_length_b 10.5008
_cell_length_c 5.9630
_cell_angle_alpha 90.00
_cell_angle_beta 131.06
_cell_angle_gamma 90.00
loop_
_atom_site_label
_atom_site_fract_x
_atom_site_fract_y
_atom_site_fract_z
Na1 0.0000 0.2208 0.0000
As1 0.1964 0.0000 0.5860
H1 0.4924 0.0000 0.2036
S1 0.0438 0.5000 0.0281
S2 0.0590 0.1804 0.5617
S3 0.2381 0.0000 0.2656
```

Peak list (10 most intense, 15 to 90 degrees two-theta, sorted by position)
| 2θ (°) | I_rel |
| --- | --- |
| 16.3 | 100 |
| 17.1 | 68 |
| 29.1 | 26 |
| 30.0 | 37 |
| 32.2 | 23 |
| 33.0 | 29 |
| 34.2 | 18 |
| 43.1 | 18 |
| 46.6 | 16 |
| 50.5 | 17 |


The following is a theoretical X-ray powder pattern of Na2B3C. It was derived from a DFT-relaxed cell (GGA-PBE, Alexandria), using Cu Kα.
Lines closer than 0.1° are merged.

Structural model:
```
data_Na2B3C
_chemical_formula_sum 'Na10 B15 C5'
_symmetry_space_group_name_H-M 'P 1 m 1'
_symmetry_Int_Tables_number 6
_symmetry_space_group_name_Hall 'P -2y'
_cell_length_a 5.0908
_cell_length_b 8.6194
_cell_length_c 7.7053
_cell_angle_alpha 90.00
_cell_angle_beta 109.26
_cell_angle_gamma 90.00
loop_
_atom_site_label
_atom_site_fract_x
_atom_site_fract_y
_atom_site_fract_z
Na1 0.0000 0.2473 0.0000
Na2 0.2009 0.2500 0.3994
Na3 0.4022 0.2492 0.7999
Na4 0.6023 0.2503 0.2005
Na5 0.8013 0.2512 0.6001
B1 0.0421 0.5000 0.8069
B2 0.1376 0.0000 0.6000
B3 0.1431 0.5000 0.6039
B4 0.2350 0.5000 0.1935
B5 0.2828 0.0000 0.1983
B6 0.2966 0.0000 0.9850
B7 0.3460 0.5000 0.0001
B8 0.4801 0.5000 0.6106
B9 0.5391 0.5000 0.3962
B10 0.5418 0.0000 0.4114
B11 0.6776 0.5000 0.0001
B12 0.6832 0.0000 0.0018
B13 0.7303 0.0000 0.7885
B14 0.8695 0.5000 0.3891
B15 0.9109 0.0000 0.2152
C1 0.0684 0.0000 0.7897
C2 0.4736 0.0000 0.5999
C3 0.7370 0.5000 0.8054
C4 0.8784 0.0000 0.4102
C5 0.9318 0.5000 0.1948
```

Peak list (10 most intense, 15 to 90 degrees two-theta, sorted by position)
| 2θ (°) | I_rel |
| --- | --- |
| 35.3 | 9 |
| 35.5 | 20 |
| 41.2 | 53 |
| 41.4 | 100 |
| 41.9 | 38 |
| 56.1 | 11 |
| 63.5 | 18 |
| 64.0 | 9 |
| 76.2 | 13 |
| 79.0 | 29 |


The following is a theoretical X-ray powder pattern of Ce6OsAu2. It was derived from a DFT-relaxed cell (GGA-PBE, Alexandria), using Cu Kα.
Lines closer than 0.1° are merged.

Structural model:
```
data_Ce6OsAu2
_chemical_formula_sum 'Ce12 Os2 Au4'
_symmetry_space_group_name_H-M 'A m m 2'
_symmetry_Int_Tables_number 38
_symmetry_space_group_name_Hall 'A 2 -2'
_cell_length_a 3.7421
_cell_length_b 15.1780
_cell_length_c 8.1089
_cell_angle_alpha 90.00
_cell_angle_beta 90.00
_cell_angle_gamma 90.00
loop_
_atom_site_label
_atom_site_fract_x
_atom_site_fract_y
_atom_site_fract_z
Ce1 0.0000 0.0000 0.0000
Ce2 0.0000 0.1282 0.6392
Ce3 0.5000 0.0000 0.3287
Ce4 0.5000 0.1923 0.9711
Os1 0.5000 0.0000 0.7165
Au1 0.0000 0.1685 0.2710
```

Peak list (10 most intense, 15 to 90 degrees two-theta, sorted by position)
| 2θ (°) | I_rel |
| --- | --- |
| 31.5 | 21 |
| 31.7 | 100 |
| 33.7 | 86 |
| 34.7 | 96 |
| 35.5 | 41 |
| 37.7 | 36 |
| 39.8 | 23 |
| 40.5 | 38 |
| 48.7 | 31 |
| 59.2 | 32 |


The following is a theoretical X-ray powder pattern of Mg2CdInHg. It was derived from a DFT-relaxed cell (GGA-PBE, Alexandria), using Cu Kα.
Lines closer than 0.1° are merged.

Structural model:
```
data_Mg2CdInHg
_chemical_formula_sum 'Mg4 Cd2 In2 Hg2'
_symmetry_space_group_name_H-M 'P 1 21/m 1'
_symmetry_Int_Tables_number 11
_symmetry_space_group_name_Hall '-P 2yb'
_cell_length_a 7.2278
_cell_length_b 4.3713
_cell_length_c 7.2646
_cell_angle_alpha 90.00
_cell_angle_beta 97.98
_cell_angle_gamma 90.00
loop_
_atom_site_label
_atom_site_fract_x
_atom_site_fract_y
_atom_site_fract_z
Mg1 0.1489 0.2500 0.4588
Mg2 0.3475 0.2500 0.0385
Cd1 0.0523 0.7500 0.1495
In1 0.4452 0.7500 0.3437
Hg1 0.2406 0.7500 0.7536
```

Peak list (10 most intense, 15 to 90 degrees two-theta, sorted by position)
| 2θ (°) | I_rel |
| --- | --- |
| 18.7 | 36 |
| 23.9 | 45 |
| 24.8 | 20 |
| 33.3 | 100 |
| 36.0 | 68 |
| 38.1 | 29 |
| 41.3 | 46 |
| 53.7 | 15 |
| 57.4 | 17 |
| 59.9 | 15 |


The following is a theoretical X-ray powder pattern of Zn2FePt. It was derived from a DFT-relaxed cell (GGA-PBE, Alexandria), using Cu Kα.
Lines closer than 0.1° are merged.

Structural model:
```
data_Zn2FePt
_chemical_formula_sum 'Zn4 Fe2 Pt2'
_symmetry_space_group_name_H-M 'C 1 2/m 1'
_symmetry_Int_Tables_number 12
_symmetry_space_group_name_Hall '-C 2y'
_cell_length_a 8.8120
_cell_length_b 2.7630
_cell_length_c 4.7083
_cell_angle_alpha 90.00
_cell_angle_beta 101.27
_cell_angle_gamma 90.00
loop_
_atom_site_label
_atom_site_fract_x
_atom_site_fract_y
_atom_site_fract_z
Zn1 0.2486 0.0000 0.2444
Fe1 0.0000 0.5000 0.0000
Pt1 0.0000 0.0000 0.5000
```

Peak list (10 most intense, 15 to 90 degrees two-theta, sorted by position)
| 2θ (°) | I_rel |
| --- | --- |
| 19.2 | 22 |
| 20.6 | 14 |
| 25.3 | 13 |
| 34.1 | 12 |
| 40.5 | 100 |
| 41.8 | 30 |
| 47.1 | 43 |
| 48.2 | 20 |
| 68.8 | 13 |
| 70.6 | 12 |


The following is a theoretical X-ray powder pattern of Ho3Cd3In. It was derived from a DFT-relaxed cell (GGA-PBE, Alexandria), using Cu Kα.
Lines closer than 0.1° are merged.

Structural model:
```
data_Ho3Cd3In
_chemical_formula_sum 'Ho6 Cd6 In2'
_symmetry_space_group_name_H-M 'I m m 2'
_symmetry_Int_Tables_number 44
_symmetry_space_group_name_Hall 'I 2 -2'
_cell_length_a 3.5536
_cell_length_b 4.8726
_cell_length_c 20.8265
_cell_angle_alpha 90.00
_cell_angle_beta 90.00
_cell_angle_gamma 90.00
loop_
_atom_site_label
_atom_site_fract_x
_atom_site_fract_y
_atom_site_fract_z
Ho1 0.0000 0.0000 0.0000
Ho2 0.0000 0.0000 0.4026
Ho3 0.0000 0.5000 0.2007
Cd1 0.0000 0.0000 0.5566
Cd2 0.0000 0.0000 0.8471
Cd3 0.0000 0.5000 0.6311
In1 0.0000 0.5000 0.7688
```

Peak list (10 most intense, 15 to 90 degrees two-theta, sorted by position)
| 2θ (°) | I_rel |
| --- | --- |
| 32.3 | 100 |
| 33.1 | 49 |
| 35.3 | 78 |
| 36.9 | 39 |
| 50.4 | 30 |
| 51.4 | 16 |
| 63.6 | 14 |
| 64.0 | 27 |
| 65.0 | 14 |
| 65.5 | 13 |


The following is a theoretical X-ray powder pattern of Ce6Cd4Pd13. It was derived from a DFT-relaxed cell (GGA-PBE, Alexandria), using Cu Kα.
Lines closer than 0.1° are merged.

Structural model:
```
data_Ce6Cd4Pd13
_chemical_formula_sum 'Ce12 Cd8 Pd26'
_symmetry_space_group_name_H-M 'I m -3 m'
_symmetry_Int_Tables_number 229
_symmetry_space_group_name_Hall '-I 4 2 3'
_cell_length_a 9.8289
_cell_length_b 9.8289
_cell_length_c 9.8289
_cell_angle_alpha 90.00
_cell_angle_beta 90.00
_cell_angle_gamma 90.00
loop_
_atom_site_label
_atom_site_fract_x
_atom_site_fract_y
_atom_site_fract_z
Ce1 0.0000 0.0000 0.3001
Cd1 0.2500 0.2500 0.2500
Pd1 0.0000 0.0000 0.0000
Pd2 0.0000 0.3455 0.3455
```

Peak list (10 most intense, 15 to 90 degrees two-theta, sorted by position)
| 2θ (°) | I_rel |
| --- | --- |
| 28.7 | 20 |
| 31.5 | 18 |
| 34.1 | 9 |
| 36.6 | 12 |
| 38.9 | 100 |
| 41.1 | 11 |
| 54.4 | 9 |
| 70.4 | 28 |
| 79.2 | 10 |
| 83.4 | 10 |


- Which formula does entry 3 have?
  Ce6OsAu2